Entry 1:
This entry pairs a crystal structure of Ba4P2Se with its simulated X-ray powder pattern. Radiation: Cu Kα (λ = 1.5418 Å). Structure: the PBE geometry in Alexandria.
Intensities are scaled so that the largest is 100.

Peak list (10 most intense, 10° ≤ 2θ ≤ 90°, low angle first)
| 2theta | Rel. int. |
| --- | --- |
| 23.68 | 100.0 |
| 24.74 | 48.3 |
| 25.52 | 50.0 |
| 27.48 | 41.4 |
| 32.12 | 22.9 |
| 32.72 | 47.6 |
| 35.27 | 25.9 |
| 40.12 | 25.4 |
| 40.96 | 43.5 |
| 45.29 | 34.4 |

Atomic structure:
```
data_Ba4P2Se
_cell_length_a 10.178
_cell_length_b 10.178
_cell_length_c 11.145
_cell_angle_alpha 90.00
_cell_angle_beta 90.00
_cell_angle_gamma 90.00
_symmetry_space_group_name_H-M 'I 41/a m d'
_symmetry_Int_Tables_number 141
loop_
_symmetry_equiv_pos_as_xyz
'x,y,z'
'-x,-y,-z'
'-y+1/4,x+3/4,z+1/4'
'y+1/4,-x+3/4,-z+1/4'
'-x+1/2,-y,z+1/2'
'x+1/2,y,-z+1/2'
'y+1/4,-x+1/4,z+3/4'
'-y+1/4,x+1/4,-z+3/4'
'x,-y,-z'
'-x,y,z'
'-y+1/4,-x+1/4,-z+3/4'
'y+1/4,x+1/4,z+3/4'
'-x+1/2,y,-z+1/2'
'x+1/2,-y,z+1/2'
'y+1/4,x+3/4,-z+1/4'
'-y+1/4,-x+3/4,z+1/4'
'x+1/2,y+1/2,z+1/2'
'-x+1/2,-y+1/2,-z+1/2'
'-y+3/4,x+1/4,z+3/4'
'y+3/4,-x+1/4,-z+3/4'
'-x,-y+1/2,z'
'x,y+1/2,-z'
'y+3/4,-x+3/4,z+1/4'
'-y+3/4,x+3/4,-z+1/4'
'x+1/2,-y+1/2,-z+1/2'
'-x+1/2,y+1/2,z+1/2'
'-y+3/4,-x+3/4,-z+1/4'
'y+3/4,x+3/4,z+1/4'
'-x,y+1/2,-z'
'x,-y+1/2,z'
'y+3/4,x+1/4,-z+3/4'
'-y+3/4,-x+1/4,z+3/4'
loop_
_atom_site_label
_atom_site_type_symbol
_atom_site_fract_x
_atom_site_fract_y
_atom_site_fract_z
Ba1 Ba 0.000 0.055 0.224
P1 P 0.000 0.000 0.500
Se1 Se 0.000 0.250 0.875
```



Entry 2:
This entry pairs a crystal structure of KAc4PrS8 with its simulated X-ray powder pattern. Radiation: Cu Kα (λ = 1.5418 Å). Structure: the PBE geometry in Alexandria.
Intensities are scaled so that the largest is 100.

Peak list (10 most intense, 10° ≤ 2θ ≤ 90°, low angle first)
| 2theta | Rel. int. |
| --- | --- |
| 12.22 | 42.1 |
| 23.48 | 85.6 |
| 23.61 | 100.0 |
| 23.86 | 51.3 |
| 24.58 | 49.3 |
| 28.60 | 68.0 |
| 37.24 | 32.9 |
| 37.41 | 45.1 |
| 40.58 | 69.7 |
| 41.21 | 67.4 |

Atomic structure:
```
data_KAc4PrS8
_cell_length_a 8.8929
_cell_length_b 8.8929
_cell_length_c 21.3079
_cell_angle_alpha 90.00
_cell_angle_beta 90.00
_cell_angle_gamma 120.00
_symmetry_space_group_name_H-M 'R 3 m'
_symmetry_Int_Tables_number 160
_symmetry_space_group_name_Hall 'R 3 -2"'
loop_
_atom_site_label
_atom_site_type_symbol
_atom_site_fract_x
_atom_site_fract_y
_atom_site_fract_z
K1 K 0.0000 0.0000 0.0000
Ac1 Ac 0.0000 0.0000 0.2471
Ac2 Ac 0.1707 0.3413 0.4557
Pr1 Pr 0.0000 0.0000 0.6278
S1 S 0.0000 0.0000 0.3815
S2 S 0.0000 0.0000 0.8584
S3 S 0.0460 0.5230 0.3751
S4 S 0.1798 0.3596 0.2057
```



Entry 3:
This entry pairs a crystal structure of Ca2AgB3Pt12 with its simulated X-ray powder pattern. Radiation: Cu Kα (λ = 1.5418 Å). Structure: the PBE geometry in Alexandria.
Intensities are scaled so that the largest is 100.

Peak list (10 most intense, 10° ≤ 2θ ≤ 90°, low angle first)
| 2theta | Rel. int. |
| --- | --- |
| 13.72 | 14.9 |
| 22.00 | 15.4 |
| 24.85 | 20.4 |
| 33.42 | 100.0 |
| 35.60 | 38.8 |
| 37.23 | 20.2 |
| 40.37 | 31.8 |
| 44.86 | 51.0 |
| 50.97 | 22.3 |
| 57.08 | 12.2 |

Atomic structure:
```
data_Ca2AgB3Pt12
_cell_length_a 8.0820
_cell_length_b 8.0820
_cell_length_c 16.6875
_cell_angle_alpha 90.00
_cell_angle_beta 90.00
_cell_angle_gamma 120.00
_symmetry_space_group_name_H-M 'R -3 m'
_symmetry_Int_Tables_number 166
_symmetry_space_group_name_Hall '-R 3 2"'
loop_
_atom_site_label
_atom_site_type_symbol
_atom_site_fract_x
_atom_site_fract_y
_atom_site_fract_z
Ca1 Ca 0.0000 0.0000 0.0973
Ag1 Ag 0.0000 0.0000 0.5000
B1 B 0.0000 0.5000 0.0000
Pt1 Pt 0.0201 0.5100 0.8752
Pt2 Pt 0.0608 0.5304 0.3508
```



Entry 4:
This entry pairs a crystal structure of Pm6ErSi4 with its simulated X-ray powder pattern. Radiation: Cu Kα (λ = 1.5418 Å). Structure: the PBE geometry in Alexandria.
Intensities are scaled so that the largest is 100.

Peak list (10 most intense, 10° ≤ 2θ ≤ 90°, low angle first)
| 2theta | Rel. int. |
| --- | --- |
| 22.24 | 23.6 |
| 24.74 | 24.4 |
| 29.56 | 26.6 |
| 31.53 | 100.0 |
| 33.63 | 32.6 |
| 37.19 | 22.8 |
| 39.03 | 24.6 |
| 55.01 | 24.1 |
| 57.33 | 14.1 |
| 89.11 | 14.6 |

Atomic structure:
```
data_Pm6ErSi4
_cell_length_a 9.2312
_cell_length_b 9.2312
_cell_length_c 4.0298
_cell_angle_alpha 90.00
_cell_angle_beta 90.00
_cell_angle_gamma 120.00
_symmetry_space_group_name_H-M 'P -6 m 2'
_symmetry_Int_Tables_number 187
_symmetry_space_group_name_Hall 'P -6 2'
loop_
_atom_site_label
_atom_site_type_symbol
_atom_site_fract_x
_atom_site_fract_y
_atom_site_fract_z
Pm1 Pm 0.1951 0.3902 0.0000
Pm2 Pm 0.5408 0.0816 0.5000
Er1 Er 0.0000 0.0000 0.5000
Si1 Si 0.3241 0.1621 0.0000
Si2 Si 0.3333 0.6667 0.5000
```



Entry 5:
This entry pairs a crystal structure of Tb5Pr3Nd with its simulated X-ray powder pattern. Radiation: Cu Kα (λ = 1.5418 Å). Structure: the PBE geometry in Alexandria.
Intensities are scaled so that the largest is 100.

Peak list (10 most intense, 10° ≤ 2θ ≤ 90°, low angle first)
| 2theta | Rel. int. |
| --- | --- |
| 21.48 | 43.3 |
| 25.88 | 41.2 |
| 28.78 | 47.9 |
| 30.40 | 100.0 |
| 30.90 | 48.8 |
| 30.97 | 62.6 |
| 31.58 | 52.1 |
| 31.71 | 56.7 |
| 36.22 | 25.8 |
| 36.58 | 34.2 |

Atomic structure:
```
data_Tb5Pr3Nd
_cell_length_a 16.935
_cell_length_b 8.276
_cell_length_c 12.461
_cell_angle_alpha 90.00
_cell_angle_beta 131.52
_cell_angle_gamma 90.00
_symmetry_space_group_name_H-M 'C 1 2/m 1'
_symmetry_Int_Tables_number 12
loop_
_symmetry_equiv_pos_as_xyz
'x,y,z'
'-x,-y,-z'
'-x,y,-z'
'x,-y,z'
'x+1/2,y+1/2,z'
'-x+1/2,-y+1/2,-z'
'-x+1/2,y+1/2,-z'
'x+1/2,-y+1/2,z'
loop_
_atom_site_label
_atom_site_type_symbol
_atom_site_fract_x
_atom_site_fract_y
_atom_site_fract_z
Tb1 Tb 0.000 0.180 0.000
Tb2 Tb 0.113 0.500 0.875
Tb3 Tb 0.140 0.000 0.946
Tb4 Tb 0.215 0.197 0.782
Pr1 Pr 0.000 0.500 0.000
Pr2 Pr 0.000 0.500 0.500
Pr3 Pr 0.057 0.000 0.420
Pr4 Pr 0.204 0.000 0.304
Nd1 Nd 0.159 0.500 0.350
```



Entry 6:
This entry pairs a crystal structure of VZnPt3 with its simulated X-ray powder pattern. Radiation: Cu Kα (λ = 1.5418 Å). Structure: the PBE geometry in Alexandria.
Intensities are scaled so that the largest is 100.

Peak list (10 most intense, 10° ≤ 2θ ≤ 90°, low angle first)
| 2theta | Rel. int. |
| --- | --- |
| 19.13 | 24.7 |
| 33.45 | 100.0 |
| 38.82 | 68.6 |
| 43.62 | 11.8 |
| 56.06 | 47.2 |
| 59.80 | 5.8 |
| 66.88 | 41.7 |
| 70.28 | 15.9 |
| 83.31 | 7.6 |
| 86.48 | 3.5 |

Atomic structure:
```
data_VZnPt3
_cell_length_a 4.640
_cell_length_b 4.640
_cell_length_c 4.640
_cell_angle_alpha 90.00
_cell_angle_beta 90.00
_cell_angle_gamma 90.00
_symmetry_space_group_name_H-M 'P m -3 m'
_symmetry_Int_Tables_number 221
_symmetry_space_group_name_Hall '-P 4 2 3'
loop_
_atom_site_label
_atom_site_type_symbol
_atom_site_fract_x
_atom_site_fract_y
_atom_site_fract_z
V1 V 0.000 0.000 0.000
Zn1 Zn 0.500 0.500 0.500
Pt1 Pt 0.000 0.000 0.500
```



Entry 7:
This entry pairs a crystal structure of Na3Sc2P3O12 with its simulated X-ray powder pattern. Radiation: Cu Kα (λ = 1.5418 Å). Structure: the PBE geometry in Alexandria.
Intensities are scaled so that the largest is 100.

Peak list (10 most intense, 10° ≤ 2θ ≤ 90°, low angle first)
| 2theta | Rel. int. |
| --- | --- |
| 13.80 | 31.3 |
| 19.66 | 42.7 |
| 23.01 | 87.6 |
| 23.17 | 44.8 |
| 24.03 | 26.7 |
| 30.53 | 31.8 |
| 31.15 | 100.0 |
| 31.37 | 40.8 |
| 34.35 | 57.3 |
| 34.49 | 25.2 |

Atomic structure:
```
data_Na3Sc2P3O12
_cell_length_a 15.605
_cell_length_b 9.055
_cell_length_c 9.096
_cell_angle_alpha 90.00
_cell_angle_beta 125.44
_cell_angle_gamma 90.00
_symmetry_space_group_name_H-M 'C 1 2/c 1'
_symmetry_Int_Tables_number 15
loop_
_symmetry_equiv_pos_as_xyz
'x,y,z'
'-x,-y,-z'
'-x,y,-z+1/2'
'x,-y,z+1/2'
'x+1/2,y+1/2,z'
'-x+1/2,-y+1/2,-z'
'-x+1/2,y+1/2,-z+1/2'
'x+1/2,-y+1/2,z+1/2'
loop_
_atom_site_label
_atom_site_type_symbol
_atom_site_fract_x
_atom_site_fract_y
_atom_site_fract_z
Na1 Na 0.179 0.070 0.246
Na2 Na 0.250 0.250 0.000
Sc1 Sc 0.100 0.257 0.555
P1 P 0.000 0.045 0.750
P2 P 0.153 0.403 0.266
O1 O 0.046 0.336 0.111
O2 O 0.068 0.053 0.420
O3 O 0.078 0.141 0.737
O4 O 0.161 0.428 0.750
O5 O 0.170 0.370 0.448
O6 O 0.239 0.328 0.255
```